No. 1
Theoretical XRD peak list of CaPu2TlO8 for Cu Kα (λ = 1.5418 Å), from DFT lattice parameters and positions (PBE).
Intensities are scaled so that the largest is 100.

Cell and atoms:
```
CaPu2TlO8
1.0
-2.694 2.694 5.287
2.694 -2.694 5.287
2.694 2.694 -5.287
Ca Pu Tl O
1 2 1 8
direct
0.000 0.000 0.000 Ca
0.500 0.500 0.000 Pu
0.750 0.250 0.500 Pu
0.250 0.750 0.500 Tl
0.126 0.147 0.524 O
0.126 0.602 0.979 O
0.398 0.378 0.524 O
0.398 0.874 0.021 O
0.622 0.147 0.021 O
0.622 0.602 0.476 O
0.853 0.378 0.979 O
0.853 0.874 0.476 O
```

Largest 6 diffraction maxima, in order of falling intensity, 2θ = 5–70°:
28.88 deg, d = 3.091 Å, I 100; 48.23 deg, d = 1.887 Å, I 34; 56.76 deg, d = 1.622 Å, I 31; 18.48 deg, d = 4.801 Å, I 23; 33.25 deg, d = 2.694 Å, I 23; 47.74 deg, d = 1.905 Å, I 17

***

No. 2
Theoretical XRD peak list of CaTm2InAu4 for Cu Kα (λ = 1.5418 Å), from DFT lattice parameters and positions (PBE).
Intensities are scaled so that the largest is 100.

Cell and atoms:
```
CaTm2InAu4
1.0
2.482 1.433 8.221
-2.482 1.433 8.221
0.000 -2.866 8.221
Ca Tm In Au
1 2 1 4
direct
0.000 0.000 0.000 Ca
0.246 0.246 0.246 Tm
0.754 0.754 0.754 Tm
0.500 0.500 0.500 In
0.122 0.122 0.122 Au
0.374 0.374 0.374 Au
0.626 0.626 0.626 Au
0.878 0.878 0.878 Au
```

Largest 6 diffraction maxima, in order of falling intensity, 2θ = 5–70°:
35.85 deg, d = 2.505 Å, I 100; 36.20 deg, d = 2.482 Å, I 99; 64.87 deg, d = 1.437 Å, I 36; 51.86 deg, d = 1.763 Å, I 35; 65.10 deg, d = 1.433 Å, I 18; 64.19 deg, d = 1.451 Å, I 17

***

No. 3
Theoretical XRD peak list of TbPm12Th7 for Cu Kα (λ = 1.5418 Å), from DFT lattice parameters and positions (PBE).
Intensities are scaled so that the largest is 100.

Cell and atoms:
```
TbPm12Th7
1.0
-5.793 5.793 5.793
5.793 -5.793 5.793
5.793 5.793 -5.793
Tb Pm Th
1 12 7
direct
0.000 0.000 0.000 Tb
0.076 0.772 0.304 Pm
0.228 0.304 0.532 Pm
0.228 0.696 0.924 Pm
0.304 0.076 0.772 Pm
0.304 0.532 0.228 Pm
0.468 0.772 0.696 Pm
0.532 0.228 0.304 Pm
0.696 0.468 0.772 Pm
0.696 0.924 0.228 Pm
0.772 0.304 0.076 Pm
0.772 0.696 0.468 Pm
0.924 0.228 0.696 Pm
0.000 0.000 0.500 Th
0.000 0.500 0.000 Th
0.000 0.500 0.500 Th
0.500 0.000 0.000 Th
0.500 0.000 0.500 Th
0.500 0.500 0.000 Th
0.500 0.500 0.500 Th
```

Largest 6 diffraction maxima, in order of falling intensity, 2θ = 5–70°:
30.87 deg, d = 2.896 Å, I 100; 38.05 deg, d = 2.365 Å, I 73; 21.70 deg, d = 4.096 Å, I 70; 44.22 deg, d = 2.048 Å, I 53; 59.73 deg, d = 1.548 Å, I 41; 26.65 deg, d = 3.344 Å, I 36

***

No. 4
Theoretical XRD peak list of Sr2Sb2Br for Cu Kα (λ = 1.5418 Å), from DFT lattice parameters and positions (PBE).
Intensities are scaled so that the largest is 100.

Cell and atoms:
```
Sr2Sb2Br
1.0
8.992 0.000 0.000
0.000 8.992 0.000
0.000 0.000 4.342
Sr Sb Br
4 4 2
direct
0.185 0.315 0.000 Sr
0.315 0.815 0.000 Sr
0.685 0.185 0.000 Sr
0.815 0.685 0.000 Sr
0.109 0.609 0.500 Sb
0.391 0.109 0.500 Sb
0.609 0.891 0.500 Sb
0.891 0.391 0.500 Sb
0.000 0.000 0.500 Br
0.500 0.500 0.500 Br
```

Largest 6 diffraction maxima, in order of falling intensity, 2θ = 5–70°:
30.29 deg, d = 2.951 Å, I 100; 28.58 deg, d = 3.123 Å, I 51; 31.46 deg, d = 2.844 Å, I 35; 36.01 deg, d = 2.494 Å, I 28; 56.30 deg, d = 1.634 Å, I 25; 41.60 deg, d = 2.171 Å, I 18